For CaGdSn, the GGA-PBE geometry in Alexandria gives the theoretical X-ray powder pattern in this record (Cu Kα (weighted mean of Kα1 and Kα2)).
Lines closer than 0.1° are merged.

Principal peaks in the range 10° ≤ 2θ ≤ 90°, most intense first:
2θ 31.1, I 1000
2θ 12.1, I 398
2θ 35.6, I 378
2θ 61.1, I 291
2θ 40.0, I 195
2θ 52.3, I 183
2θ 51.2, I 134
2θ 25.7, I 129
2θ 37.0, I 123
2θ 37.7, I 112
2θ 64.9, I 96
2θ 66.9, I 89

Cell: 3.5671 3.5671 14.5698 Å, 90.00 90.00 90.00°
Space group I4mm (No. 107)
Unique sites:
Ca: 0.0000 0.0000 0.0000 [2 per cell]
Gd: 0.0000 0.0000 0.2928 [2 per cell]
Sn: 0.0000 0.0000 0.6493 [2 per cell]